Entry 1:
Calculated powder diffraction line list of Mg16Al12Pt for Cu Kα, from a cell relaxed with GGA-PBE.
Lines closer than 0.1° are merged.

a = 9.0068 Å, b = 9.0068 Å, c = 9.0068 Å
α = 108.90°, β = 108.90°, γ = 108.90°
Fractional coordinates of all 29 atoms:
1 Mg 0.0000 0.0000 0.0000
2 Mg 0.0150 0.0150 0.6621
3 Mg 0.0150 0.6621 0.0150
4 Mg 0.0211 0.4211 0.6944
5 Mg 0.0211 0.6944 0.4211
6 Mg 0.3233 0.5829 0.5829
7 Mg 0.3307 0.3307 0.7396
8 Mg 0.3307 0.7396 0.3307
9 Mg 0.4211 0.0211 0.6944
10 Mg 0.4211 0.6944 0.0211
11 Mg 0.5829 0.3233 0.5829
12 Mg 0.5829 0.5829 0.3233
13 Mg 0.6621 0.0150 0.0150
14 Mg 0.6944 0.0211 0.4211
15 Mg 0.6944 0.4211 0.0211
16 Mg 0.7396 0.3307 0.3307
17 Al 0.0163 0.1962 0.3796
18 Al 0.0163 0.3796 0.1962
19 Al 0.1962 0.0163 0.3796
20 Al 0.1962 0.3796 0.0163
21 Al 0.2147 0.8261 0.8261
22 Al 0.3796 0.0163 0.1962
23 Al 0.3796 0.1962 0.0163
24 Al 0.6653 0.6653 0.8556
25 Al 0.6653 0.8556 0.6653
26 Al 0.8261 0.2147 0.8261
27 Al 0.8261 0.8261 0.2147
28 Al 0.8556 0.6653 0.6653
29 Pt 0.2836 0.2836 0.2836

Main lines, in order of falling intensity (15° ≤ 2θ ≤ 90°):
2θ 36.74, intensity 100
2θ 36.02, intensity 50
2θ 40.76, intensity 44
2θ 34.26, intensity 43
2θ 20.86, intensity 42
2θ 43.93, intensity 41

=====

Entry 2:
Calculated powder diffraction line list of Hf4Co4Ge7 for Cu Kα, from a cell relaxed with GGA-PBE.
Lines closer than 0.1° are merged.

a = 9.6836 Å, b = 9.6836 Å, c = 9.6836 Å
α = 94.13°, β = 94.13°, γ = 148.87°
Fractional coordinates of all 30 atoms:
1 Hf 0.0000 0.1949 0.1949
2 Hf 0.0000 0.8051 0.8051
3 Hf 0.1949 0.0000 0.1949
4 Hf 0.3613 0.3613 0.7225
5 Hf 0.3613 0.6387 0.0000
6 Hf 0.6387 0.3613 0.0000
7 Hf 0.6387 0.6387 0.2775
8 Hf 0.8051 0.0000 0.8051
9 Co 0.1010 0.6010 0.2021
10 Co 0.1010 0.8990 0.5000
11 Co 0.3990 0.6010 0.5000
12 Co 0.3990 0.8990 0.7979
13 Co 0.6010 0.1010 0.2021
14 Co 0.6010 0.3990 0.5000
15 Co 0.8990 0.1010 0.5000
16 Co 0.8990 0.3990 0.7979
17 Ge 0.0000 0.4059 0.4059
18 Ge 0.0000 0.5941 0.5941
19 Ge 0.2068 0.2068 0.4135
20 Ge 0.2068 0.7932 0.0000
21 Ge 0.2082 0.5000 0.7082
22 Ge 0.2512 0.2512 0.0000
23 Ge 0.4059 0.0000 0.4059
24 Ge 0.5000 0.2082 0.7082
25 Ge 0.5000 0.7918 0.2918
26 Ge 0.5941 0.0000 0.5941
27 Ge 0.7488 0.7488 0.0000
28 Ge 0.7918 0.5000 0.2918
29 Ge 0.7932 0.2068 0.0000
30 Ge 0.7932 0.7932 0.5865

Main lines, in order of falling intensity (15° ≤ 2θ ≤ 90°):
2θ 38.26, intensity 100
2θ 40.92, intensity 39
2θ 64.34, intensity 22
2θ 41.05, intensity 20
2θ 34.52, intensity 18
2θ 38.61, intensity 15

=====

Entry 3:
Calculated powder diffraction line list of BeAg4 for Cu Kα, from a cell relaxed with GGA-PBE.
Lines closer than 0.1° are merged.

a = 6.3997 Å, b = 6.3997 Å, c = 6.3997 Å
α = 60.00°, β = 60.00°, γ = 60.00°
Fractional coordinates of all 10 atoms:
1 Be 0.1250 0.1250 0.1250
2 Be 0.8750 0.8750 0.8750
3 Ag 0.2647 0.2647 0.2647
4 Ag 0.2647 0.2647 0.7059
5 Ag 0.2647 0.7059 0.2647
6 Ag 0.2941 0.7353 0.7353
7 Ag 0.7059 0.2647 0.2647
8 Ag 0.7353 0.2941 0.7353
9 Ag 0.7353 0.7353 0.2941
10 Ag 0.7353 0.7353 0.7353

Main lines, in order of falling intensity (15° ≤ 2θ ≤ 90°):
2θ 34.32, intensity 100
2θ 39.84, intensity 46
2θ 57.61, intensity 27
2θ 68.81, intensity 27
2θ 52.54, intensity 14
2θ 16.97, intensity 10

=====

Entry 4:
Calculated powder diffraction line list of Na4Bi2AsC4O16 for Cu Kα, from a cell relaxed with GGA-PBE.
Lines closer than 0.1° are merged.

a = 10.7041 Å, b = 10.6043 Å, c = 10.3236 Å
α = 61.51°, β = 60.54°, γ = 57.96°
Fractional coordinates of all 54 atoms:
1 Na 0.0793 0.6707 0.0793
2 Na 0.0807 0.6693 0.6693
3 Na 0.3293 0.9207 0.3293
4 Na 0.3307 0.9193 0.9193
5 Na 0.6693 0.0807 0.0807
6 Na 0.6707 0.0793 0.6707
7 Na 0.9193 0.3307 0.3307
8 Na 0.9207 0.3293 0.9207
9 Bi 0.0000 0.5000 0.5000
10 Bi 0.5000 0.0000 0.5000
11 Bi 0.5000 0.5000 0.0000
12 Bi 0.5000 0.5000 0.5000
13 As 0.1250 0.1250 0.1250
14 As 0.8750 0.8750 0.8750
15 C 0.2707 0.6582 0.2885
16 C 0.2826 0.2885 0.6582
17 C 0.2885 0.2826 0.2707
18 C 0.3418 0.7293 0.7174
19 C 0.6582 0.2707 0.2826
20 C 0.7115 0.7174 0.7293
21 C 0.7174 0.7115 0.3418
22 C 0.7293 0.3418 0.7115
23 O 0.0413 0.3255 0.0664
24 O 0.0664 0.0668 0.0413
25 O 0.0668 0.0664 0.3255
26 O 0.1492 0.6468 0.4085
27 O 0.1519 0.3007 0.6662
28 O 0.1540 0.4007 0.2816
29 O 0.2816 0.6638 0.1540
30 O 0.2955 0.4085 0.6468
31 O 0.3007 0.1519 0.3812
32 O 0.3255 0.0413 0.0668
33 O 0.3338 0.6188 0.8481
34 O 0.3362 0.7184 0.5993
35 O 0.3532 0.8508 0.7045
36 O 0.3812 0.6662 0.3007
37 O 0.4007 0.1540 0.6638
38 O 0.4085 0.2955 0.1492
39 O 0.5915 0.7045 0.8508
40 O 0.5993 0.8460 0.3362
41 O 0.6188 0.3338 0.6993
42 O 0.6468 0.1492 0.2955
43 O 0.6638 0.2816 0.4007
44 O 0.6662 0.3812 0.1519
45 O 0.6745 0.9587 0.9332
46 O 0.6993 0.8481 0.6188
47 O 0.7045 0.5915 0.3532
48 O 0.7184 0.3362 0.8460
49 O 0.8460 0.5993 0.7184
50 O 0.8481 0.6993 0.3338
51 O 0.8508 0.3532 0.5915
52 O 0.9332 0.9336 0.6745
53 O 0.9336 0.9332 0.9587
54 O 0.9587 0.6745 0.9336

Main lines, in order of falling intensity (15° ≤ 2θ ≤ 90°):
2θ 20.67, intensity 100
2θ 19.19, intensity 90
2θ 20.22, intensity 65
2θ 19.92, intensity 63
2θ 34.76, intensity 52
2θ 33.90, intensity 43

=====

Entry 5:
Calculated powder diffraction line list of GdLuAg2 for Cu Kα, from a cell relaxed with GGA-PBE.
Lines closer than 0.1° are merged.

a = 5.1403 Å, b = 5.1403 Å, c = 5.1403 Å
α = 60.00°, β = 60.00°, γ = 60.00°
Fractional coordinates of all 4 atoms:
1 Gd 0.0000 0.0000 0.0000
2 Lu 0.5000 0.5000 0.5000
3 Ag 0.2500 0.2500 0.2500
4 Ag 0.7500 0.7500 0.7500

Main lines, in order of falling intensity (15° ≤ 2θ ≤ 90°):
2θ 34.91, intensity 100
2θ 62.60, intensity 36
2θ 50.20, intensity 18
2θ 84.24, intensity 16
2θ 73.73, intensity 11
2θ 24.49, intensity 4

=====

Entry 6:
Calculated powder diffraction line list of CaSmAl4 for Cu Kα, from a cell relaxed with GGA-PBE.
Lines closer than 0.1° are merged.

a = 5.6500 Å, b = 5.6500 Å, c = 5.6500 Å
α = 60.00°, β = 60.00°, γ = 60.00°
Fractional coordinates of all 6 atoms:
1 Ca 0.0000 0.0000 0.0000
2 Sm 0.2500 0.2500 0.2500
3 Al 0.1250 0.6250 0.6250
4 Al 0.6250 0.1250 0.6250
5 Al 0.6250 0.6250 0.1250
6 Al 0.6250 0.6250 0.6250

Main lines, in order of falling intensity (15° ≤ 2θ ≤ 90°):
2θ 37.33, intensity 100
2θ 31.67, intensity 69
2θ 19.24, intensity 51
2θ 60.18, intensity 33
2θ 56.41, intensity 26
2θ 22.25, intensity 25

=====

Entry 7:
Calculated powder diffraction line list of Cs2MnTe2S6 for Cu Kα, from a cell relaxed with GGA-PBE.
Lines closer than 0.1° are merged.

a = 7.0308 Å, b = 7.0308 Å, c = 16.2670 Å
α = 90.00°, β = 90.00°, γ = 120.00°
Fractional coordinates of all 22 atoms:
1 Cs 0.3333 0.6667 0.2024
2 Cs 0.3333 0.6667 0.7024
3 Cs 0.6667 0.3333 0.2976
4 Cs 0.6667 0.3333 0.7976
5 Mn 0.0000 0.0000 0.0000
6 Mn 0.0000 0.0000 0.5000
7 Te 0.3333 0.6667 0.4602
8 Te 0.3333 0.6667 0.9602
9 Te 0.6667 0.3333 0.0398
10 Te 0.6667 0.3333 0.5398
11 S 0.1148 0.3204 0.3950
12 S 0.1148 0.7945 0.8950
13 S 0.2055 0.3204 0.8950
14 S 0.2055 0.8852 0.3950
15 S 0.3204 0.1148 0.1050
16 S 0.3204 0.2055 0.6050
17 S 0.6796 0.7945 0.3950
18 S 0.6796 0.8852 0.8950
19 S 0.7945 0.1148 0.6050
20 S 0.7945 0.6796 0.1050
21 S 0.8852 0.2055 0.1050
22 S 0.8852 0.6796 0.6050

Main lines, in order of falling intensity (15° ≤ 2θ ≤ 90°):
2θ 26.35, intensity 100
2θ 25.34, intensity 74
2θ 45.28, intensity 44
2θ 33.70, intensity 35
2θ 52.01, intensity 26
2θ 36.88, intensity 23